Starting from a DFT-relaxed cell (PBE, Alexandria), the XRD peak list of CuH2CBrN2 was calculated for Cu Kα, 1.54184 Å.
Intensities are scaled so that the largest is 100.

Atomic structure:
a = 8.6691 Å, b = 3.8709 Å, c = 12.9514 Å
α = 90.00°, β = 90.00°, γ = 90.00°
Fractional positions:
Cu 0.1191 0.2500 0.0549
Cu 0.3809 0.7500 0.5549
Cu 0.6191 0.2500 0.4451
Cu 0.8809 0.7500 0.9451
H 0.1255 0.2500 0.2774
H 0.1923 0.2500 0.4052
H 0.3077 0.7500 0.9052
H 0.3745 0.7500 0.7774
H 0.6255 0.2500 0.2226
H 0.6923 0.2500 0.0948
H 0.8077 0.7500 0.5948
H 0.8745 0.7500 0.7226
C 0.0403 0.7500 0.6134
C 0.4597 0.2500 0.1134
C 0.5403 0.7500 0.8866
C 0.9597 0.2500 0.3866
Br 0.0334 0.2500 0.8695
Br 0.4666 0.7500 0.3695
Br 0.5334 0.2500 0.6305
Br 0.9666 0.7500 0.1305
N 0.1025 0.2500 0.3546
N 0.1694 0.7500 0.5857
N 0.3306 0.2500 0.0857
N 0.3975 0.7500 0.8546
N 0.6025 0.2500 0.1454
N 0.6694 0.7500 0.9143
N 0.8306 0.2500 0.4143
N 0.8975 0.7500 0.6454

Largest 10 diffraction maxima, by angle, 5° ≤ 2θ ≤ 70°:
(1 0 1), 7.204 Å, intensity 100.0
(0 0 2), 6.476 Å, intensity 17.7
(2 0 0), 4.335 Å, intensity 19.6
(1 1 1), 3.410 Å, intensity 22.6
(0 0 4), 3.238 Å, intensity 12.7
(1 1 2), 3.102 Å, intensity 26.8
(2 1 0), 2.887 Å, intensity 21.8
(3 1 1), 2.279 Å, intensity 12.6
(0 1 5), 2.153 Å, intensity 12.5
(1 1 6), 1.842 Å, intensity 18.4